This entry pairs a crystal structure of InSbH with its theoretical PXRD pattern. Radiation: Cu Ka. Structure: a structure optimized by DFT (PBE).
Lines closer than 0.1° are merged.

Cell and atoms:
a b c (Å): 4.7215 11.4497 7.0612
angles (deg): 90.00 90.00 90.00
Positions (direct):
In  0.0000  0.1241  0.0000
In  0.0000  0.8759  0.0000
In  0.5000  0.3759  0.5000
In  0.5000  0.6241  0.5000
Sb  0.0000  0.2975  0.7033
Sb  0.0000  0.7025  0.7033
Sb  0.5000  0.2025  0.2033
Sb  0.5000  0.7975  0.2033
H  0.0000  0.4091  0.8692
H  0.0000  0.5909  0.8692
H  0.5000  0.0909  0.3692
H  0.5000  0.9091  0.3692

Principal peaks in the range 5° ≤ 2θ ≤ 70°, in order of rising 2θ:
index  2θ (°)  I (rel.)
0 1 1  14.74  100
0 2 0  15.48  44
1 0 1  22.65  78
0 3 1  26.55  51
1 2 1  27.55  47
1 1 2  32.62  39
2 0 0  38.12  28
1 4 1  38.94  35
1 3 2  39.67  49
1 0 3  42.93  34
1 5 0  43.94  27
2 3 1  47.06  21